(1)
Structure and simulated PXRD pattern of BaSm2CuO5 (a crystal structure in Alexandria, relaxed with GGA-PBE; CuKα).
Lines closer than 0.1° are merged.

Atomic structure:
```
data_BaSm2CuO5
_chemical_formula_sum 'Ba4 Sm8 Cu4 O20'
_cell_length_a 12.4712
_cell_length_b 5.8014
_cell_length_c 7.3936
_cell_angle_alpha 90.00
_cell_angle_beta 90.00
_cell_angle_gamma 90.00
_symmetry_space_group_name_H-M 'P n m a'
_symmetry_Int_Tables_number 62
_symmetry_space_group_name_Hall '-P 2ac 2n'
loop_
_atom_site_label
_atom_site_type_symbol
_atom_site_fract_x
_atom_site_fract_y
_atom_site_fract_z
Ba1 Ba 0.0942 0.2500 0.0671
Sm1 Sm 0.0740 0.7500 0.3946
Sm2 Sm 0.2129 0.2500 0.6104
Cu1 Cu 0.1611 0.7500 0.7798
O1 O 0.0681 0.5096 0.6642
O2 O 0.0975 0.7500 0.0782
O3 O 0.2279 0.0068 0.3493
```

Principal peaks in the range 2θ = 10–90°, low angle first:
2θ/deg  I_rel  h k l
29.05  100  3 1 1
29.53  61  1 1 2
30.83  46  0 2 0
31.13  21  4 0 1
44.38  30  4 2 1
53.73  17  3 3 1

=====

(2)
Structure and simulated PXRD pattern of Ba4SmCu3O9 (a crystal structure in Alexandria, relaxed with GGA-PBE; CuKα).
Lines closer than 0.1° are merged.

Atomic structure:
```
data_Ba4SmCu3O9
_chemical_formula_sum 'Ba8 Sm2 Cu6 O18'
_cell_length_a 8.2215
_cell_length_b 8.2215
_cell_length_c 8.2215
_cell_angle_alpha 90.00
_cell_angle_beta 90.00
_cell_angle_gamma 90.00
_symmetry_space_group_name_H-M 'P m -3 n'
_symmetry_Int_Tables_number 223
_symmetry_space_group_name_Hall '-P 4n 2 3'
loop_
_atom_site_label
_atom_site_type_symbol
_atom_site_fract_x
_atom_site_fract_y
_atom_site_fract_z
Ba1 Ba 0.2500 0.2500 0.2500
Sm1 Sm 0.0000 0.0000 0.0000
Cu1 Cu 0.0000 0.0000 0.5000
O1 O 0.0000 0.0000 0.2762
O2 O 0.0000 0.2500 0.5000
```

Principal peaks in the range 2θ = 10–90°, low angle first:
2θ/deg  I_rel  h k l
30.76  100  2 2 0
44.06  27  4 0 0
54.69  39  4 2 2
64.07  17  4 4 0
72.75  17  6 2 0
89.13  21  6 4 2

=====

(3)
Structure and simulated PXRD pattern of Ba2SmCu3O7 (a crystal structure in Alexandria, relaxed with GGA-PBE; CuKα).
Lines closer than 0.1° are merged.

Atomic structure:
```
data_Ba2SmCu3O7
_chemical_formula_sum 'Ba2 Sm1 Cu3 O7'
_cell_length_a 3.8702
_cell_length_b 3.9377
_cell_length_c 11.8778
_cell_angle_alpha 90.00
_cell_angle_beta 90.00
_cell_angle_gamma 90.00
_symmetry_space_group_name_H-M 'P m m m'
_symmetry_Int_Tables_number 47
_symmetry_space_group_name_Hall '-P 2 2'
loop_
_atom_site_label
_atom_site_type_symbol
_atom_site_fract_x
_atom_site_fract_y
_atom_site_fract_z
Ba1 Ba 0.0000 0.0000 0.1795
Sm1 Sm 0.0000 0.0000 0.5000
Cu1 Cu 0.5000 0.5000 0.0000
Cu2 Cu 0.5000 0.5000 0.3490
O1 O 0.0000 0.5000 0.3753
O2 O 0.5000 0.0000 0.0000
O3 O 0.5000 0.0000 0.3743
O4 O 0.5000 0.5000 0.1579
```

Principal peaks in the range 2θ = 10–90°, low angle first:
2θ/deg  I_rel  h k l
32.06  47  0 1 3
32.39  100  1 0 3
39.81  15  1 1 3
57.27  19  1 1 6
57.44  20  1 2 3
57.99  17  2 1 3

=====

(4)
Structure and simulated PXRD pattern of Ba2Sm2Ti2Cu2O11 (a crystal structure in Alexandria, relaxed with GGA-PBE; CuKα).
Lines closer than 0.1° are merged.

Atomic structure:
```
data_Ba2Sm2Ti2Cu2O11
_chemical_formula_sum 'Ba2 Sm2 Ti2 Cu2 O11'
_cell_length_a 3.9245
_cell_length_b 3.9245
_cell_length_c 16.0078
_cell_angle_alpha 90.00
_cell_angle_beta 90.00
_cell_angle_gamma 90.00
_symmetry_space_group_name_H-M 'P 4/m m m'
_symmetry_Int_Tables_number 123
_symmetry_space_group_name_Hall '-P 4 2'
loop_
_atom_site_label
_atom_site_type_symbol
_atom_site_fract_x
_atom_site_fract_y
_atom_site_fract_z
Ba1 Ba 0.0000 0.0000 0.2333
Sm1 Sm 0.0000 0.0000 0.0000
Sm2 Sm 0.0000 0.0000 0.5000
Ti1 Ti 0.5000 0.5000 0.3753
Cu1 Cu 0.5000 0.5000 0.1041
O1 O 0.0000 0.5000 0.0934
O2 O 0.0000 0.5000 0.3890
O3 O 0.5000 0.5000 0.2586
O4 O 0.5000 0.5000 0.5000
```

Principal peaks in the range 2θ = 10–90°, low angle first:
2θ/deg  I_rel  h k l
22.66  17  1 0 0
31.94  100  1 0 4
32.26  50  1 1 0
39.52  26  1 1 4
46.27  33  2 0 0
57.32  37  2 1 4

=====

(5)
Structure and simulated PXRD pattern of Ba3CuSn2O9 (a crystal structure in Alexandria, relaxed with GGA-PBE; CuKα).
Lines closer than 0.1° are merged.

Atomic structure:
```
data_Ba3CuSn2O9
_chemical_formula_sum 'Ba3 Cu1 Sn2 O9'
_cell_length_a 5.8472
_cell_length_b 5.8472
_cell_length_c 7.1869
_cell_angle_alpha 90.00
_cell_angle_beta 90.00
_cell_angle_gamma 120.00
_symmetry_space_group_name_H-M 'P -3 m 1'
_symmetry_Int_Tables_number 164
_symmetry_space_group_name_Hall '-P 3 2"'
loop_
_atom_site_label
_atom_site_type_symbol
_atom_site_fract_x
_atom_site_fract_y
_atom_site_fract_z
Ba1 Ba 0.0000 0.0000 0.0000
Ba2 Ba 0.3333 0.6667 0.6575
Cu1 Cu 0.0000 0.0000 0.5000
Sn1 Sn 0.3333 0.6667 0.1689
O1 O 0.0000 0.5000 0.0000
O2 O 0.1645 0.3290 0.3378
```

Principal peaks in the range 2θ = 10–90°, low angle first:
2θ/deg  I_rel  h k l
30.54  100  1 1 0
43.74  31  2 0 2
54.17  10  1 0 4
54.32  30  3 0 0
63.66  10  2 2 0
88.46  11  4 1 0

=====

(6)
Structure and simulated PXRD pattern of Ba7SrCu8O24 (a crystal structure in Alexandria, relaxed with GGA-PBE; CuKα).
Lines closer than 0.1° are merged.

Atomic structure:
```
data_Ba7SrCu8O24
_chemical_formula_sum 'Ba7 Sr1 Cu8 O24'
_cell_length_a 8.0020
_cell_length_b 8.0020
_cell_length_c 8.0020
_cell_angle_alpha 90.00
_cell_angle_beta 90.00
_cell_angle_gamma 90.00
_symmetry_space_group_name_H-M 'P m -3 m'
_symmetry_Int_Tables_number 221
_symmetry_space_group_name_Hall '-P 4 2 3'
loop_
_atom_site_label
_atom_site_type_symbol
_atom_site_fract_x
_atom_site_fract_y
_atom_site_fract_z
Ba1 Ba 0.0000 0.0000 0.0000
Ba2 Ba 0.0000 0.0000 0.5000
Ba3 Ba 0.0000 0.5000 0.5000
Sr1 Sr 0.5000 0.5000 0.5000
Cu1 Cu 0.2499 0.2499 0.2499
O1 O 0.0000 0.2513 0.2513
O2 O 0.2565 0.2565 0.5000
```

Principal peaks in the range 2θ = 10–90°, low angle first:
2θ/deg  I_rel  h k l
31.63  100  2 2 0
38.99  13  2 2 2
45.33  33  4 0 0
56.32  39  4 2 2
66.05  20  4 4 0
75.08  17  6 2 0

=====

(7)
Structure and simulated PXRD pattern of Ba3Sr5Tl5Cu3O19 (a crystal structure in Alexandria, relaxed with GGA-PBE; CuKα).
Lines closer than 0.1° are merged.

Atomic structure:
```
data_Ba3Sr5Tl5Cu3O19
_chemical_formula_sum 'Ba3 Sr5 Tl5 Cu3 O19'
_cell_length_a 9.4017
_cell_length_b 3.7732
_cell_length_c 16.1195
_cell_angle_alpha 90.00
_cell_angle_beta 106.94
_cell_angle_gamma 90.00
_symmetry_space_group_name_H-M 'P 1 m 1'
_symmetry_Int_Tables_number 6
_symmetry_space_group_name_Hall 'P -2y'
loop_
_atom_site_label
_atom_site_type_symbol
_atom_site_fract_x
_atom_site_fract_y
_atom_site_fract_z
Ba1 Ba 0.0000 0.0000 0.0000
Ba2 Ba 0.1234 0.0000 0.2540
Ba3 Ba 0.5447 0.0000 0.2550
Sr1 Sr 0.2467 0.0000 0.4997
Sr2 Sr 0.2956 0.0000 0.7574
Sr3 Sr 0.4105 0.0000 0.0010
Sr4 Sr 0.6667 0.0000 0.5002
Sr5 Sr 0.8751 0.0000 0.7582
Tl1 Tl 0.0095 0.5000 0.6052
Tl2 Tl 0.5332 0.5000 0.6531
Tl3 Tl 0.6476 0.5000 0.8941
Tl4 Tl 0.7608 0.5000 0.1196
Tl5 Tl 0.8877 0.5000 0.3620
Cu1 Cu 0.1546 0.5000 0.8757
Cu2 Cu 0.2798 0.5000 0.1277
Cu3 Cu 0.3979 0.5000 0.3810
O1 O 0.0811 0.5000 0.7495
O2 O 0.1213 0.5000 0.3915
O3 O 0.1437 0.0000 0.8703
O4 O 0.2208 0.5000 0.0002
O5 O 0.2725 0.0000 0.1238
O6 O 0.2723 0.5000 0.6303
O7 O 0.3351 0.5000 0.2548
O8 O 0.4011 0.0000 0.3884
O9 O 0.4165 0.5000 0.8717
O10 O 0.4607 0.5000 0.5085
O11 O 0.5434 0.5000 0.1198
O12 O 0.5704 0.0000 0.7320
O13 O 0.6838 0.5000 0.3921
O14 O 0.6919 0.0000 0.9951
O15 O 0.7711 0.5000 0.6306
O16 O 0.8385 0.0000 0.2660
O17 O 0.8529 0.5000 0.8675
O18 O 0.9706 0.0000 0.5284
O19 O 0.9807 0.5000 0.1251
```

Principal peaks in the range 2θ = 10–90°, low angle first:
2θ/deg  I_rel  h k l
29.98  85  2 0 3
30.38  96  2 1 -1
33.23  100  0 1 4
38.29  31  4 0 -2
51.58  36  4 1 2
57.84  28  2 2 3